No. 1
Computed X-ray powder pattern of LiP5W3O19 for Cu Ka, from a DFT-relaxed cell (PBE+U, the Materials Project).
Lines closer than 0.1° are merged.

Most intense lines, 2θ = 10–90°, low angle first:
| 2θ/deg | I (rel.) |
| --- | --- |
| 11.3 | 62 |
| 14.1 | 59 |
| 15.9 | 58 |
| 19.3 | 38 |
| 20.1 | 36 |
| 20.5 | 100 |
| 22.8 | 28 |
| 27.9 | 49 |
| 29.7 | 27 |
| 31.9 | 30 |

Structure:
a b c (Å): 8.7777 8.7777 6.5569
angles (deg): 98.80 98.80 113.76
Fractional positions:
Li (0.0000, 0.0000, 0.0000)
P (0.0904, 0.7176, 0.4627)
P (0.2158, 0.5122, 0.1945)
P (0.5122, 0.2158, 0.1945)
P (0.5824, 0.5824, 0.7708)
P (0.7176, 0.0904, 0.4627)
W (0.1476, 0.3992, 0.6463)
W (0.3992, 0.1476, 0.6463)
W (0.6677, 0.6677, 0.3080)
O (0.0683, 0.5894, 0.6022)
O (0.1303, 0.4283, 0.9615)
O (0.1489, 0.6556, 0.2559)
O (0.1501, 0.3746, 0.3202)
O (0.2278, 0.8924, 0.5832)
O (0.2307, 0.2307, 0.6618)
O (0.3746, 0.1501, 0.3202)
O (0.4048, 0.5812, 0.7324)
O (0.4103, 0.6116, 0.2426)
O (0.4283, 0.1303, 0.9615)
O (0.5812, 0.4048, 0.7324)
O (0.5894, 0.0683, 0.6022)
O (0.6116, 0.4103, 0.2426)
O (0.6556, 0.1489, 0.2559)
O (0.6867, 0.6867, 0.0024)
O (0.6874, 0.6874, 0.6265)
O (0.7305, 0.9272, 0.3702)
O (0.8924, 0.2278, 0.5832)
O (0.9272, 0.7305, 0.3702)

No. 2
Computed X-ray powder pattern of HfCoO3 for Cu Ka, from a DFT-relaxed cell (PBE+U, the Materials Project).
Lines closer than 0.1° are merged.

Most intense lines, 2θ = 10–90°, low angle first:
| 2θ/deg | I (rel.) |
| --- | --- |
| 22.7 | 18 |
| 23.2 | 32 |
| 32.7 | 100 |
| 33.0 | 26 |
| 33.2 | 24 |
| 46.4 | 12 |
| 47.5 | 21 |
| 58.7 | 22 |
| 58.9 | 24 |
| 68.5 | 13 |

Structure:
a b c (Å): 5.4323 7.8287 5.4039
angles (deg): 90.00 90.00 90.00
Fractional positions:
Hf (0.0000, 0.0000, 0.0000)
Hf (0.0000, 0.5000, 0.0000)
Hf (0.5000, 0.0000, 0.5000)
Hf (0.5000, 0.5000, 0.5000)
Co (0.0269, 0.2500, 0.4855)
Co (0.4731, 0.7500, 0.9855)
Co (0.5269, 0.2500, 0.0145)
Co (0.9731, 0.7500, 0.5145)
O (0.0863, 0.7500, 0.8795)
O (0.1673, 0.5661, 0.3352)
O (0.1673, 0.9339, 0.3352)
O (0.3327, 0.0661, 0.8352)
O (0.3327, 0.4339, 0.8352)
O (0.4137, 0.2500, 0.3795)
O (0.5863, 0.7500, 0.6205)
O (0.6673, 0.5661, 0.1648)
O (0.6673, 0.9339, 0.1648)
O (0.8327, 0.0661, 0.6648)
O (0.8327, 0.4339, 0.6648)
O (0.9137, 0.2500, 0.1205)